Structure and simulated powder X-ray diffraction pattern of ZrSn (a cell relaxed with PBE; CuKα).

Atomic structure:
```
data_ZrSn
_space_group_name_H-M_alt 'P b c m'
_space_group_IT_number 57
_space_group_name_Hall '-P 2c 2b'
_cell_length_a 6.0451
_cell_length_b 5.5814
_cell_length_c 5.5663
_cell_angle_alpha 90.00
_cell_angle_beta 90.00
_cell_angle_gamma 90.00
loop_
_atom_site_label
_atom_site_type_symbol
_atom_site_fract_x
_atom_site_fract_y
_atom_site_fract_z
Zr1 Zr 0.1284 0.0045 0.2500
Sn1 Sn 0.3575 0.5055 0.2500
```

Most intense lines, 2θ = 10–90°, low angle first:
2θ (°)	I_rel	(hkl)
32.12	78	0 0 2
37.50	100	2 1 1
46.06	29	0 2 2
60.78	24	2 3 1
60.89	24	2 1 3
70.94	14	4 0 2
79.56	11	2 3 3
80.01	10	4 2 2


Structure and simulated powder X-ray diffraction pattern of CaB3O8 (a cell relaxed with PBE; CuKα).

Atomic structure:
```
data_CaB3O8
_space_group_name_H-M_alt 'P 1 21/c 1'
_space_group_IT_number 14
_space_group_name_Hall '-P 2ybc'
_cell_length_a 5.9506
_cell_length_b 11.5369
_cell_length_c 8.6709
_cell_angle_alpha 90.00
_cell_angle_beta 108.68
_cell_angle_gamma 90.00
loop_
_atom_site_label
_atom_site_type_symbol
_atom_site_fract_x
_atom_site_fract_y
_atom_site_fract_z
Ca1 Ca 0.2247 0.2087 0.1358
B1 B 0.0163 0.5467 0.7808
B2 B 0.1974 0.7110 0.6671
B3 B 0.3531 0.6672 0.9627
O1 O 0.0027 0.1448 0.8421
O2 O 0.0029 0.5637 0.2927
O3 O 0.1892 0.0651 0.6683
O4 O 0.1896 0.7422 0.0208
O5 O 0.2348 0.5560 0.9200
O6 O 0.3790 0.7222 0.8105
O7 O 0.4219 0.1730 0.4111
O8 O 0.4556 0.0107 0.0537
```

Most intense lines, 2θ = 10–90°, low angle first:
2θ (°)	I_rel	(hkl)
15.36	41	0 2 0
22.23	28	1 2 -1
22.99	27	0 1 2
27.22	71	1 2 -2
28.23	100	1 3 -1
30.77	33	1 0 2
45.05	23	0 5 2
45.15	29	2 1 2


Structure and simulated powder X-ray diffraction pattern of Cs2HfO3 (a cell relaxed with PBE; CuKα).

Atomic structure:
```
data_Cs2HfO3
_space_group_name_H-M_alt 'C m c e'
_space_group_IT_number 64
_space_group_name_Hall '-C 2ac 2'
_cell_length_a 6.5090
_cell_length_b 13.0553
_cell_length_c 14.5377
_cell_angle_alpha 90.00
_cell_angle_beta 90.00
_cell_angle_gamma 90.00
loop_
_atom_site_label
_atom_site_type_symbol
_atom_site_fract_x
_atom_site_fract_y
_atom_site_fract_z
Cs1 Cs 0.0000 0.0523 0.1341
Cs2 Cs 0.0000 0.1329 0.5710
Hf1 Hf 0.0000 0.2401 0.3275
O1 O 0.0000 0.0987 0.3645
O2 O 0.0000 0.1711 0.9330
O3 O 0.2500 0.2330 0.7500
```

Most intense lines, 2θ = 10–90°, low angle first:
2θ (°)	I_rel	(hkl)
24.49	19	0 0 4
25.37	30	1 3 1
27.40	61	2 0 0
27.54	100	1 3 2
28.96	56	1 1 4
30.01	18	0 4 2
37.08	18	2 0 4
48.53	21	3 3 2


Structure and simulated powder X-ray diffraction pattern of ThSiNi (a cell relaxed with PBE; CuKα).

Atomic structure:
```
data_ThSiNi
_space_group_name_H-M_alt 'I 41 m d'
_space_group_IT_number 109
_space_group_name_Hall 'I 4bw -2'
_cell_length_a 4.0758
_cell_length_b 4.0758
_cell_length_c 13.9937
_cell_angle_alpha 90.00
_cell_angle_beta 90.00
_cell_angle_gamma 90.00
loop_
_atom_site_label
_atom_site_type_symbol
_atom_site_fract_x
_atom_site_fract_y
_atom_site_fract_z
Th1 Th 0.0000 0.0000 0.0000
Si1 Si 0.0000 0.0000 0.4191
Ni1 Ni 0.0000 0.0000 0.5873
```

Most intense lines, 2θ = 10–90°, low angle first:
2θ (°)	I_rel	(hkl)
22.72	36	1 0 1
25.46	21	0 0 4
29.09	52	1 0 3
33.63	100	1 1 2
39.04	43	1 0 5
44.46	32	2 0 0
60.63	24	2 1 5
74.92	20	3 1 2


Structure and simulated powder X-ray diffraction pattern of Sm2Zn17 (a cell relaxed with PBE; CuKα).

Atomic structure:
```
data_Sm2Zn17
_space_group_name_H-M_alt 'R -3 m'
_space_group_IT_number 166
_space_group_name_Hall '-R 3 2"'
_cell_length_a 9.0215
_cell_length_b 9.0215
_cell_length_c 13.2737
_cell_angle_alpha 90.00
_cell_angle_beta 90.00
_cell_angle_gamma 120.00
loop_
_atom_site_label
_atom_site_type_symbol
_atom_site_fract_x
_atom_site_fract_y
_atom_site_fract_z
Sm1 Sm 0.0000 0.0000 0.1647
Zn1 Zn 0.0000 0.0000 0.4008
Zn2 Zn 0.0000 0.2948 0.5000
Zn3 Zn 0.0000 0.5000 0.0000
Zn4 Zn 0.0082 0.5041 0.6533
```

Most intense lines, 2θ = 10–90°, low angle first:
2θ (°)	I_rel	(hkl)
28.25	27	1 1 3
34.44	38	3 0 0
35.49	24	0 2 4
39.98	61	2 2 0
40.18	100	0 3 3
40.79	34	0 0 6
45.12	31	2 2 3
72.60	24	6 0 0


Structure and simulated powder X-ray diffraction pattern of PrMn2 (a cell relaxed with PBE; CuKα).

Atomic structure:
```
data_PrMn2
_space_group_name_H-M_alt 'P 63/m m c'
_space_group_IT_number 194
_space_group_name_Hall '-P 6c 2c'
_cell_length_a 5.5561
_cell_length_b 5.5561
_cell_length_c 8.4069
_cell_angle_alpha 90.00
_cell_angle_beta 90.00
_cell_angle_gamma 120.00
loop_
_atom_site_label
_atom_site_type_symbol
_atom_site_fract_x
_atom_site_fract_y
_atom_site_fract_z
Pr1 Pr 0.3333 0.6667 0.0573
Mn1 Mn 0.0000 0.0000 0.0000
Mn2 Mn 0.1610 0.3220 0.7500
```

Most intense lines, 2θ = 10–90°, low angle first:
2θ (°)	I_rel	(hkl)
28.19	11	1 0 2
32.22	43	1 1 0
37.13	49	1 0 3
38.88	100	1 1 2
60.71	25	2 1 3
61.92	16	3 0 2
67.42	15	2 2 0
68.03	17	2 0 5


Structure and simulated powder X-ray diffraction pattern of MgNb3 (a cell relaxed with PBE; CuKα).

Atomic structure:
```
data_MgNb3
_space_group_name_H-M_alt 'F m -3 m'
_space_group_IT_number 225
_space_group_name_Hall '-F 4 2 3'
_cell_length_a 6.6885
_cell_length_b 6.6885
_cell_length_c 6.6885
_cell_angle_alpha 90.00
_cell_angle_beta 90.00
_cell_angle_gamma 90.00
loop_
_atom_site_label
_atom_site_type_symbol
_atom_site_fract_x
_atom_site_fract_y
_atom_site_fract_z
Mg1 Mg 0.0000 0.0000 0.0000
Nb1 Nb 0.0000 0.0000 0.5000
Nb2 Nb 0.2500 0.2500 0.2500
```

Most intense lines, 2θ = 10–90°, low angle first:
2θ (°)	I_rel	(hkl)
23.03	13	1 1 1
26.66	7	2 0 0
38.05	100	2 2 0
44.95	6	3 1 1
54.91	17	4 0 0
60.32	3	3 3 1
68.76	33	4 2 2
81.39	10	4 4 0


Structure and simulated powder X-ray diffraction pattern of Zr9Mo4S (a cell relaxed with PBE; CuKα).

Atomic structure:
```
data_Zr9Mo4S
_space_group_name_H-M_alt 'P 63/m m c'
_space_group_IT_number 194
_space_group_name_Hall '-P 6c 2c'
_cell_length_a 8.7632
_cell_length_b 8.7632
_cell_length_c 8.6544
_cell_angle_alpha 90.00
_cell_angle_beta 90.00
_cell_angle_gamma 120.00
loop_
_atom_site_label
_atom_site_type_symbol
_atom_site_fract_x
_atom_site_fract_y
_atom_site_fract_z
Zr1 Zr 0.0766 0.5383 0.2500
Zr2 Zr 0.1983 0.3966 0.5480
Mo1 Mo 0.0000 0.0000 0.0000
Mo2 Mo 0.1086 0.2172 0.2500
S1 S 0.3333 0.6667 0.7500
```

Most intense lines, 2θ = 10–90°, low angle first:
2θ (°)	I_rel	(hkl)
11.66	23	1 0 0
37.02	62	3 0 1
37.62	100	2 1 2
39.23	37	2 0 3
41.21	21	2 2 0
62.29	21	3 2 3
65.13	22	5 0 2
65.32	24	3 0 5


Copy entry 3 word for word.
Structure and simulated powder X-ray diffraction pattern of Cs2HfO3 (a cell relaxed with PBE; CuKα).

Atomic structure:
```
data_Cs2HfO3
_space_group_name_H-M_alt 'C m c e'
_space_group_IT_number 64
_space_group_name_Hall '-C 2ac 2'
_cell_length_a 6.5090
_cell_length_b 13.0553
_cell_length_c 14.5377
_cell_angle_alpha 90.00
_cell_angle_beta 90.00
_cell_angle_gamma 90.00
loop_
_atom_site_label
_atom_site_type_symbol
_atom_site_fract_x
_atom_site_fract_y
_atom_site_fract_z
Cs1 Cs 0.0000 0.0523 0.1341
Cs2 Cs 0.0000 0.1329 0.5710
Hf1 Hf 0.0000 0.2401 0.3275
O1 O 0.0000 0.0987 0.3645
O2 O 0.0000 0.1711 0.9330
O3 O 0.2500 0.2330 0.7500
```

Most intense lines, 2θ = 10–90°, low angle first:
2θ (°)	I_rel	(hkl)
24.49	19	0 0 4
25.37	30	1 3 1
27.40	61	2 0 0
27.54	100	1 3 2
28.96	56	1 1 4
30.01	18	0 4 2
37.08	18	2 0 4
48.53	21	3 3 2


Please write out number 6 again, unchanged.
Structure and simulated powder X-ray diffraction pattern of PrMn2 (a cell relaxed with PBE; CuKα).

Atomic structure:
```
data_PrMn2
_space_group_name_H-M_alt 'P 63/m m c'
_space_group_IT_number 194
_space_group_name_Hall '-P 6c 2c'
_cell_length_a 5.5561
_cell_length_b 5.5561
_cell_length_c 8.4069
_cell_angle_alpha 90.00
_cell_angle_beta 90.00
_cell_angle_gamma 120.00
loop_
_atom_site_label
_atom_site_type_symbol
_atom_site_fract_x
_atom_site_fract_y
_atom_site_fract_z
Pr1 Pr 0.3333 0.6667 0.0573
Mn1 Mn 0.0000 0.0000 0.0000
Mn2 Mn 0.1610 0.3220 0.7500
```

Most intense lines, 2θ = 10–90°, low angle first:
2θ (°)	I_rel	(hkl)
28.19	11	1 0 2
32.22	43	1 1 0
37.13	49	1 0 3
38.88	100	1 1 2
60.71	25	2 1 3
61.92	16	3 0 2
67.42	15	2 2 0
68.03	17	2 0 5


Q: Number 3 is which compound?
A: Cs2HfO3